# Mn4Se3O
Computed XRD peak list, Cu Kα, 1.54184 Å. Input: a structure optimized by DFT (PBE+U).
Kinematic intensities with the Lorentz-polarization factor, no thermal factor.

Main lines, by intensity (2θ from 10° to 80°):
27.9 deg, rel. 100.0, (0 2 2)
35.6 deg, rel. 93.5, (3 0 1)
30.2 deg, rel. 83.2, (1 2 2)
36.4 deg, rel. 78.0, (2 2 2)
27.4 deg, rel. 76.1, (0 1 3)
49.7 deg, rel. 69.3, (1 2 5)
49.0 deg, rel. 65.8, (3 2 3)
29.7 deg, rel. 51.8, (1 1 3)
45.6 deg, rel. 48.7, (0 4 0)
32.2 deg, rel. 39.9, (2 2 0)

Cell and atoms:
a b c (Å): 7.793 7.951 10.719
angles (deg): 90.00 90.00 90.00
Element x y z (fractional)
1 Mn 0.023 0.250 0.037
2 Mn 0.155 0.045 0.398
3 Mn 0.155 0.455 0.398
4 Mn 0.237 0.250 0.685
5 Mn 0.263 0.750 0.185
6 Mn 0.345 0.545 0.898
7 Mn 0.345 0.955 0.898
8 Mn 0.477 0.750 0.537
9 Mn 0.523 0.250 0.463
10 Mn 0.655 0.045 0.102
11 Mn 0.655 0.455 0.102
12 Mn 0.737 0.250 0.815
13 Mn 0.763 0.750 0.315
14 Mn 0.845 0.545 0.602
15 Mn 0.845 0.955 0.602
16 Mn 0.977 0.750 0.963
17 Se 0.018 0.023 0.806
18 Se 0.018 0.477 0.806
19 Se 0.143 0.750 0.515
20 Se 0.357 0.250 0.015
21 Se 0.482 0.523 0.306
22 Se 0.482 0.977 0.306
23 Se 0.518 0.023 0.694
24 Se 0.518 0.477 0.694
25 Se 0.643 0.750 0.985
26 Se 0.857 0.250 0.485
27 Se 0.982 0.523 0.194
28 Se 0.982 0.977 0.194
29 O 0.243 0.750 0.991
30 O 0.257 0.250 0.491
31 O 0.743 0.750 0.509
32 O 0.757 0.250 0.009